# KNpC2O6
Theoretical PXRD pattern, Cu Kα, 1.54184 Å. Input: a cell relaxed with PBE.
No peak broadening, texture or thermal motion is included.

Cell and atoms:
```
data_KNpC2O6
_chemical_formula_sum 'K2 Np2 C4 O12'
_space_group_name_H-M_alt 'C 1 2/m 1'
_space_group_IT_number 12
_cell_length_a 11.833
_cell_length_b 7.409
_cell_length_c 4.393
_cell_angle_alpha 90.00
_cell_angle_beta 111.74
_cell_angle_gamma 90.00
loop_
_space_group_symop_operation_xyz
'x,y,z'
'-x,-y,-z'
'-x,y,-z'
'x,-y,z'
'x+1/2,y+1/2,z'
'-x+1/2,-y+1/2,-z'
'-x+1/2,y+1/2,-z'
'x+1/2,-y+1/2,z'
loop_
_atom_site_label
_atom_site_fract_x
_atom_site_fract_y
_atom_site_fract_z
_atom_site_occupancy
K1 0.000 0.000 0.000 1
Np1 0.000 0.500 0.500 1
C1 0.220 0.500 0.097 1
O1 0.000 0.252 0.500 1
O2 0.116 0.500 0.124 1
O3 0.239 0.500 0.837 1
```

Top 10 peaks for 15° ≤ 2θ ≤ 90°, by angle:
2θ/deg	I (rel.)	index
16.13	95	2 0 0
21.79	59	2 0 -1
23.54	77	1 1 -1
24.02	66	0 2 0
28.67	100	3 1 -1
31.80	36	2 0 1
32.61	48	4 0 0
40.59	61	3 1 1
45.24	29	3 3 -1
54.12	25	3 3 1


# K4CO4
Theoretical PXRD pattern, Cu Kα, 1.54184 Å. Input: a cell relaxed with PBE.
No peak broadening, texture or thermal motion is included.

Cell and atoms:
```
data_K4CO4
_chemical_formula_sum 'K8 C2 O8'
_space_group_name_H-M_alt 'C 1 m 1'
_space_group_IT_number 8
_cell_length_a 6.491
_cell_length_b 9.805
_cell_length_c 5.704
_cell_angle_alpha 90.00
_cell_angle_beta 106.27
_cell_angle_gamma 90.00
loop_
_space_group_symop_operation_xyz
'x,y,z'
'x,-y,z'
'x+1/2,y+1/2,z'
'x+1/2,-y+1/2,z'
loop_
_atom_site_label
_atom_site_fract_x
_atom_site_fract_y
_atom_site_fract_z
_atom_site_occupancy
K1 0.000 0.000 0.000 1
K2 0.030 0.234 0.435 1
K3 0.469 0.000 0.792 1
C1 0.159 0.500 0.296 1
O1 0.199 0.381 0.169 1
O2 0.300 0.500 0.542 1
O3 0.437 0.000 0.304 1
```

Top 10 peaks for 15° ≤ 2θ ≤ 90°, by angle:
2θ/deg	I (rel.)	index
16.19	38	0 0 1
16.86	32	1 1 0
24.37	100	0 2 1
28.66	42	2 0 0
33.10	39	1 1 -2
34.15	94	2 2 -1
36.66	36	0 4 0
40.59	36	1 1 2
41.46	27	2 2 1
47.18	36	2 4 0


# K4CO4
Theoretical PXRD pattern, Cu Kα, 1.54184 Å. Input: a cell relaxed with PBE.
No peak broadening, texture or thermal motion is included.

Cell and atoms:
```
data_K4CO4
_chemical_formula_sum 'K8 C2 O8'
_space_group_name_H-M_alt 'I -4 2 m'
_space_group_IT_number 121
_space_group_name_Hall 'I -4 2'
_cell_length_a 8.432
_cell_length_b 8.432
_cell_length_c 5.404
_cell_angle_alpha 90.00
_cell_angle_beta 90.00
_cell_angle_gamma 90.00
loop_
_atom_site_label
_atom_site_fract_x
_atom_site_fract_y
_atom_site_fract_z
_atom_site_occupancy
K1 0.175 0.175 0.159 1
C1 0.000 0.000 0.500 1
O1 0.100 0.100 0.651 1
```

Top 10 peaks for 15° ≤ 2θ ≤ 90°, by angle:
2θ/deg	I (rel.)	index
21.07	34	2 0 0
28.87	100	2 1 1
29.98	19	2 2 0
33.61	30	3 1 0
36.02	29	3 0 1
36.51	76	1 1 2
42.10	31	3 2 1
45.30	45	2 2 2
45.65	28	3 3 0
47.54	59	4 1 1


# K4CO4
Theoretical PXRD pattern, Cu Kα, 1.54184 Å. Input: a cell relaxed with PBE.
No peak broadening, texture or thermal motion is included.

Cell and atoms:
```
data_K4CO4
_chemical_formula_sum 'K8 C2 O8'
_space_group_name_H-M_alt 'C 1 m 1'
_space_group_IT_number 8
_cell_length_a 8.204
_cell_length_b 7.780
_cell_length_c 6.491
_cell_angle_alpha 90.00
_cell_angle_beta 114.55
_cell_angle_gamma 90.00
loop_
_space_group_symop_operation_xyz
'x,y,z'
'x,-y,z'
'x+1/2,y+1/2,z'
'x+1/2,-y+1/2,z'
loop_
_atom_site_label
_atom_site_fract_x
_atom_site_fract_y
_atom_site_fract_z
_atom_site_occupancy
K1 0.000 0.231 0.000 1
K2 0.116 0.252 0.528 1
C1 0.276 0.500 0.315 1
O1 0.090 0.500 0.263 1
O2 0.321 0.350 0.228 1
O3 0.380 0.500 0.570 1
```

Top 10 peaks for 15° ≤ 2θ ≤ 90°, by angle:
2θ/deg	I (rel.)	index
16.46	89	1 1 0
22.86	98	0 2 0
29.79	63	2 0 -2
30.28	41	0 0 2
32.14	44	2 2 -1
33.29	97	2 0 1
37.87	100	2 2 -2
38.27	76	0 2 2
40.79	52	2 2 1
44.44	43	4 0 -1


# K3CO
Theoretical PXRD pattern, Cu Kα, 1.54184 Å. Input: a cell relaxed with PBE.
No peak broadening, texture or thermal motion is included.

Cell and atoms:
```
data_K3CO
_chemical_formula_sum 'K3 C1 O1'
_space_group_name_H-M_alt 'P m -3 m'
_space_group_IT_number 221
_space_group_name_Hall '-P 4 2 3'
_cell_length_a 5.231
_cell_length_b 5.231
_cell_length_c 5.231
_cell_angle_alpha 90.00
_cell_angle_beta 90.00
_cell_angle_gamma 90.00
loop_
_atom_site_label
_atom_site_fract_x
_atom_site_fract_y
_atom_site_fract_z
_atom_site_occupancy
K1 0.000 0.000 0.500 1
C1 0.500 0.500 0.500 1
O1 0.000 0.000 0.000 1
```

Top 10 peaks for 15° ≤ 2θ ≤ 90°, by angle:
2θ/deg	I (rel.)	index
16.95	49	1 0 0
29.58	100	1 1 1
34.28	81	2 0 0
38.48	22	2 1 0
49.27	49	2 2 0
52.48	10	3 0 0
58.52	34	3 1 1
61.40	15	2 2 2
79.94	13	3 3 1
82.46	18	4 2 0


# K4CO4
Theoretical PXRD pattern, Cu Kα, 1.54184 Å. Input: a cell relaxed with PBE.
No peak broadening, texture or thermal motion is included.

Cell and atoms:
```
data_K4CO4
_chemical_formula_sum 'K12 C3 O12'
_space_group_name_H-M_alt 'R 3 m'
_space_group_IT_number 160
_space_group_name_Hall 'R 3 -2"'
_cell_length_a 7.3652
_cell_length_b 7.3652
_cell_length_c 10.3323
_cell_angle_alpha 90.00
_cell_angle_beta 90.00
_cell_angle_gamma 120.00
loop_
_atom_site_label
_atom_site_fract_x
_atom_site_fract_y
_atom_site_fract_z
_atom_site_occupancy
K1 0.0000 0.0000 0.0000 1
K2 0.0350 0.5175 0.9426 1
C1 0.0000 0.0000 0.7418 1
O1 0.0000 0.0000 0.6029 1
O2 0.1077 0.2154 0.7868 1
```

Top 10 peaks for 15° ≤ 2θ ≤ 90°, by angle:
2θ/deg	I (rel.)	index
22.14	23	0 1 2
25.87	27	0 0 3
29.31	83	0 2 1
33.01	100	2 0 2
37.57	25	1 0 4
41.33	39	1 2 2
42.52	15	3 0 0
45.17	31	0 2 4
49.50	30	2 2 0
56.69	27	2 2 3


# K4CO4
Theoretical PXRD pattern, Cu Kα, 1.54184 Å. Input: a cell relaxed with PBE.
No peak broadening, texture or thermal motion is included.

Cell and atoms:
```
data_K4CO4
_chemical_formula_sum 'K8 C2 O8'
_space_group_name_H-M_alt 'C 1 m 1'
_space_group_IT_number 8
_cell_length_a 7.930
_cell_length_b 8.126
_cell_length_c 6.095
_cell_angle_alpha 90.00
_cell_angle_beta 126.34
_cell_angle_gamma 90.00
loop_
_space_group_symop_operation_xyz
'x,y,z'
'x,-y,z'
'x+1/2,y+1/2,z'
'x+1/2,-y+1/2,z'
loop_
_atom_site_label
_atom_site_fract_x
_atom_site_fract_y
_atom_site_fract_z
_atom_site_occupancy
K1 0.000 0.000 0.000 1
K2 0.020 0.296 0.563 1
K3 0.402 0.000 0.972 1
C1 0.328 0.500 0.285 1
O1 0.056 0.000 0.463 1
O2 0.251 0.356 0.111 1
O3 0.257 0.500 0.454 1
```

Top 10 peaks for 15° ≤ 2θ ≤ 90°, by angle:
2θ/deg	I (rel.)	index
27.93	29	2 0 0
28.51	77	0 2 1
30.01	53	2 0 -2
30.83	21	1 1 1
31.57	100	2 2 -1
36.01	34	1 3 0
36.40	55	3 1 -1
36.60	47	0 0 2
37.62	22	3 1 -2
50.43	32	2 2 -3


# K4CO6
Theoretical PXRD pattern, Cu Kα, 1.54184 Å. Input: a cell relaxed with PBE.
No peak broadening, texture or thermal motion is included.

Cell and atoms:
```
data_K4CO6
_chemical_formula_sum 'K4 C1 O6'
_space_group_name_H-M_alt 'P 1'
_space_group_IT_number 1
_cell_length_a 5.371
_cell_length_b 5.801
_cell_length_c 7.397
_cell_angle_alpha 91.16
_cell_angle_beta 93.46
_cell_angle_gamma 109.97
loop_
_space_group_symop_operation_xyz
'x,y,z'
loop_
_atom_site_label
_atom_site_fract_x
_atom_site_fract_y
_atom_site_fract_z
_atom_site_occupancy
K1 0.000 0.000 0.000 1
K2 0.033 0.985 0.524 1
K3 0.291 0.613 0.804 1
K4 0.616 0.378 0.288 1
C1 0.685 0.344 0.767 1
O1 0.094 0.307 0.277 1
O2 0.391 0.762 0.167 1
O3 0.445 0.222 0.810 1
O4 0.609 0.864 0.278 1
O5 0.763 0.583 0.753 1
O6 0.849 0.230 0.736 1
```

Top 10 peaks for 15° ≤ 2θ ≤ 90°, by angle:
2θ/deg	I (rel.)	index
24.13	63	0 0 2
27.96	91	1 1 0
28.63	81	0 1 -2
28.97	59	1 0 -2
29.84	100	0 1 2
31.07	69	1 0 2
31.53	72	1 -2 0
33.72	94	2 -1 0
34.61	45	0 2 -1
46.22	41	-2 2 2


# K4CO4
Theoretical PXRD pattern, Cu Kα, 1.54184 Å. Input: a cell relaxed with PBE.
No peak broadening, texture or thermal motion is included.

Cell and atoms:
```
data_K4CO4
_chemical_formula_sum 'K4 C1 O4'
_space_group_name_H-M_alt 'P 1'
_space_group_IT_number 1
_cell_length_a 4.023
_cell_length_b 7.378
_cell_length_c 7.886
_cell_angle_alpha 95.64
_cell_angle_beta 96.50
_cell_angle_gamma 92.04
loop_
_space_group_symop_operation_xyz
'x,y,z'
loop_
_atom_site_label
_atom_site_fract_x
_atom_site_fract_y
_atom_site_fract_z
_atom_site_occupancy
K1 0.000 0.000 0.000 1
K2 0.066 0.436 0.234 1
K3 0.353 0.147 0.491 1
K4 0.446 0.439 0.857 1
C1 0.859 0.835 0.422 1
O1 0.556 0.199 0.193 1
O2 0.638 0.741 0.447 1
O3 0.909 0.226 0.699 1
O4 0.976 0.640 0.992 1
```

Top 10 peaks for 15° ≤ 2θ ≤ 90°, by angle:
2θ/deg	I (rel.)	index
24.74	100	0 1 -2
25.76	38	0 2 -1
26.72	37	1 1 -1
27.96	51	0 2 1
29.92	75	1 1 1
31.74	27	0 2 -2
33.05	65	-1 1 2
34.39	57	-1 2 1
37.60	48	1 2 1
43.75	48	1 0 3


# K4CO4
Theoretical PXRD pattern, Cu Kα, 1.54184 Å. Input: a cell relaxed with PBE.
No peak broadening, texture or thermal motion is included.

Cell and atoms:
```
data_K4CO4
_chemical_formula_sum 'K8 C2 O8'
_space_group_name_H-M_alt 'C 1 2 1'
_space_group_IT_number 5
_cell_length_a 10.811
_cell_length_b 5.706
_cell_length_c 5.679
_cell_angle_alpha 90.00
_cell_angle_beta 115.58
_cell_angle_gamma 90.00
loop_
_space_group_symop_operation_xyz
'x,y,z'
'-x,y,-z'
'x+1/2,y+1/2,z'
'-x+1/2,y+1/2,-z'
loop_
_atom_site_label
_atom_site_fract_x
_atom_site_fract_y
_atom_site_fract_z
_atom_site_occupancy
K1 0.137 0.000 0.367 1
K2 0.151 0.588 0.982 1
C1 0.000 0.367 0.500 1
O1 0.084 0.510 0.419 1
O2 0.090 0.219 0.714 1
```

Top 10 peaks for 15° ≤ 2θ ≤ 90°, by angle:
2θ/deg	I (rel.)	index
22.14	37	1 1 -1
27.73	54	1 1 1
29.85	100	3 1 -1
31.35	52	0 2 0
31.68	50	2 0 -2
35.82	40	1 1 -2
36.03	25	0 2 1
36.88	70	4 0 0
41.92	32	3 1 1
45.17	25	2 2 -2


# K4CO4
Theoretical PXRD pattern, Cu Kα, 1.54184 Å. Input: a cell relaxed with PBE.
No peak broadening, texture or thermal motion is included.

Cell and atoms:
```
data_K4CO4
_chemical_formula_sum 'K8 C2 O8'
_space_group_name_H-M_alt 'I -4 2 m'
_space_group_IT_number 121
_space_group_name_Hall 'I -4 2'
_cell_length_a 5.530
_cell_length_b 5.530
_cell_length_c 10.000
_cell_angle_alpha 90.00
_cell_angle_beta 90.00
_cell_angle_gamma 90.00
loop_
_atom_site_label
_atom_site_fract_x
_atom_site_fract_y
_atom_site_fract_z
_atom_site_occupancy
K1 0.203 0.203 0.144 1
C1 0.000 0.000 0.500 1
O1 0.149 0.149 0.414 1
```

Top 10 peaks for 15° ≤ 2θ ≤ 90°, by angle:
2θ/deg	I (rel.)	index
22.74	21	1 1 0
28.99	100	1 1 2
31.33	19	1 0 3
32.38	65	2 0 0
35.92	34	0 0 4
37.46	77	2 1 1
42.94	28	1 1 4
45.68	34	2 1 3
49.13	33	2 0 4
55.68	26	3 1 2


# K4CO4
Theoretical PXRD pattern, Cu Kα, 1.54184 Å. Input: a cell relaxed with PBE.
No peak broadening, texture or thermal motion is included.

Cell and atoms:
```
data_K4CO4
_chemical_formula_sum 'K12 C3 O12'
_space_group_name_H-M_alt 'R 3'
_space_group_IT_number 146
_space_group_name_Hall 'R 3'
_cell_length_a 7.5709
_cell_length_b 7.5709
_cell_length_c 9.5341
_cell_angle_alpha 90.00
_cell_angle_beta 90.00
_cell_angle_gamma 120.00
loop_
_atom_site_label
_atom_site_fract_x
_atom_site_fract_y
_atom_site_fract_z
_atom_site_occupancy
K1 0.0000 0.0000 0.0000 1
K2 0.0407 0.5049 0.9554 1
C1 0.0000 0.0000 0.7226 1
O1 0.0000 0.0000 0.5704 1
O2 0.0989 0.8901 0.7731 1
```

Top 10 peaks for 15° ≤ 2θ ≤ 90°, by angle:
2θ/deg	I (rel.)	index
23.07	17	0 1 2
28.08	26	0 0 3
28.80	77	0 2 1
33.17	100	2 0 2
40.26	22	1 0 4
41.05	41	3 -2 2
41.31	19	3 0 0
47.14	29	0 2 4
48.07	28	2 2 0
56.60	25	2 2 3


# K4CO4
Theoretical PXRD pattern, Cu Kα, 1.54184 Å. Input: a cell relaxed with PBE.
No peak broadening, texture or thermal motion is included.

Cell and atoms:
```
data_K4CO4
_chemical_formula_sum 'K8 C2 O8'
_space_group_name_H-M_alt 'P 42/n'
_space_group_IT_number 86
_cell_length_a 7.223
_cell_length_b 7.223
_cell_length_c 5.534
_cell_angle_alpha 90.00
_cell_angle_beta 90.00
_cell_angle_gamma 90.00
loop_
_space_group_symop_operation_xyz
'x,y,z'
'-x,-y,-z'
'-y,x+1/2,z+1/2'
'y,-x+1/2,-z+1/2'
'-x+1/2,-y+1/2,z'
'x+1/2,y+1/2,-z'
'y+1/2,-x,z+1/2'
'-y+1/2,x,-z+1/2'
loop_
_atom_site_label
_atom_site_fract_x
_atom_site_fract_y
_atom_site_fract_z
_atom_site_occupancy
K1 0.029 0.764 0.109 1
C1 0.250 0.250 0.250 1
O1 0.085 0.243 0.397 1
```

Top 10 peaks for 15° ≤ 2θ ≤ 90°, by angle:
2θ/deg	I (rel.)	index
29.53	74	2 0 1
32.08	85	1 2 1
34.72	85	1 0 2
35.14	100	2 2 0
42.83	50	1 3 1
43.04	61	2 1 2
50.23	20	3 0 2
50.55	27	4 0 0
56.73	28	3 2 2
59.63	26	4 2 1


# K4C2O3
Theoretical PXRD pattern, Cu Kα, 1.54184 Å. Input: a cell relaxed with PBE.
No peak broadening, texture or thermal motion is included.

Cell and atoms:
```
data_K4C2O3
_chemical_formula_sum 'K4 C2 O3'
_space_group_name_H-M_alt 'P 1'
_space_group_IT_number 1
_cell_length_a 5.418
_cell_length_b 5.457
_cell_length_c 7.154
_cell_angle_alpha 90.19
_cell_angle_beta 93.69
_cell_angle_gamma 117.34
loop_
_space_group_symop_operation_xyz
'x,y,z'
loop_
_atom_site_label
_atom_site_fract_x
_atom_site_fract_y
_atom_site_fract_z
_atom_site_occupancy
K1 0.000 0.000 0.000 1
K2 0.027 0.040 0.512 1
K3 0.356 0.685 0.769 1
K4 0.660 0.331 0.261 1
C1 0.358 0.725 0.263 1
C2 0.713 0.325 0.754 1
O1 0.218 0.456 0.233 1
O2 0.457 0.217 0.806 1
O3 0.828 0.591 0.722 1
```

Top 10 peaks for 15° ≤ 2θ ≤ 90°, by angle:
2θ/deg	I (rel.)	index
24.96	21	0 0 2
30.09	45	1 0 -2
30.57	49	0 1 -2
31.06	39	-1 1 2
31.71	100	0 1 2
32.20	38	1 -1 2
32.36	46	1 0 2
32.87	64	1 -2 0
33.16	83	2 -1 0
51.22	22	0 0 4